Theoretical powder XRD pattern of MnNb3Se6 for CuKα, from a GGA-PBE-relaxed structure.

Principal peaks in the range 15° ≤ 2θ ≤ 90°, sorted by position:
2.936 Å, 30.5°, intensity 55, hkl 1 1 1
2.711 Å, 33.0°, intensity 43, hkl 1 1 2
2.430 Å, 37.0°, intensity 55, hkl 1 1 3
2.152 Å, 42.0°, intensity 100, hkl 1 1 4
1.746 Å, 52.4°, intensity 53, hkl 3 0 0
1.515 Å, 61.2°, intensity 17, hkl 1 1 7
1.418 Å, 65.9°, intensity 10, hkl 2 2 3
1.356 Å, 69.3°, intensity 22, hkl 2 2 4
1.327 Å, 71.0°, intensity 12, hkl 3 0 6
1.151 Å, 84.1°, intensity 21, hkl 3 0 8

Cell and atoms:
```
data_MnNb3Se6
_chemical_formula_sum 'Mn2 Nb6 Se12'
_space_group_name_H-M_alt 'P 63 2 2'
_space_group_IT_number 182
_space_group_name_Hall 'P 6c 2c'
_cell_length_a 6.0473
_cell_length_b 6.0473
_cell_length_c 12.2552
_cell_angle_alpha 90.00
_cell_angle_beta 90.00
_cell_angle_gamma 120.00
loop_
_atom_site_label
_atom_site_fract_x
_atom_site_fract_y
_atom_site_fract_z
_atom_site_occupancy
Mn1 0.3333 0.6667 0.2500 1
Nb1 0.0000 0.0000 0.0000 1
Nb2 0.3333 0.6667 0.5023 1
Se1 0.0025 0.3349 0.1371 1
```

---

Theoretical powder XRD pattern of Mn8Nb3Si for CuKα, from a GGA-PBE-relaxed structure.

Principal peaks in the range 15° ≤ 2θ ≤ 90°, sorted by position:
2.838 Å, 31.5°, intensity 14, hkl 1 0 2
2.382 Å, 37.8°, intensity 44, hkl 1 1 0
2.203 Å, 41.0°, intensity 91, hkl 0 1 3
2.063 Å, 43.9°, intensity 14, hkl 2 0 0
2.034 Å, 44.5°, intensity 100, hkl 1 1 2
1.995 Å, 45.5°, intensity 82, hkl 0 2 1
1.338 Å, 70.4°, intensity 30, hkl 1 2 3
1.297 Å, 72.9°, intensity 21, hkl 3 0 2
1.246 Å, 76.4°, intensity 26, hkl 2 0 5
1.191 Å, 80.7°, intensity 24, hkl 2 2 0

Cell and atoms:
```
data_Mn8Nb3Si
_chemical_formula_sum 'Mn8 Nb3 Si1'
_space_group_name_H-M_alt 'P 3 m 1'
_space_group_IT_number 156
_space_group_name_Hall 'P 3 -2"'
_cell_length_a 4.7637
_cell_length_b 4.7637
_cell_length_c 7.8187
_cell_angle_alpha 90.00
_cell_angle_beta 90.00
_cell_angle_gamma 120.00
loop_
_atom_site_label
_atom_site_fract_x
_atom_site_fract_y
_atom_site_fract_z
_atom_site_occupancy
Mn1 0.0000 0.0000 0.0000 1
Mn2 0.0000 0.0000 0.4929 1
Mn3 0.1710 0.3420 0.7371 1
Mn4 0.3472 0.1736 0.2430 1
Nb1 0.3333 0.6667 0.0563 1
Nb2 0.3333 0.6667 0.4337 1
Nb3 0.6667 0.3333 0.9092 1
Si1 0.6667 0.3333 0.5523 1
```